# La3UCl3O6
Calculated PXRD pattern, CuKα. Input: a DFT-relaxed cell (GGA-PBE, Alexandria).
Neutral-atom scattering factors, no anomalous dispersion.

Main lines, in order of rising 2θ (2θ from 15° to 90°):
(hkl)  2θ (°)  Rel. int.
1 1 1  24.31  41
2 0 1  26.60  54
1 2 0  28.37  27
0 0 2  31.66  28
3 0 0  32.26  20
1 2 1  32.57  100
1 2 2  43.02  32
3 0 2  45.83  23
3 2 1  50.44  32
1 2 3  56.98  20

Crystal structure
```
data_La3UCl3O6
_cell_length_a 9.6124
_cell_length_b 9.6124
_cell_length_c 5.6515
_cell_angle_alpha 90.00
_cell_angle_beta 90.00
_cell_angle_gamma 120.00
_symmetry_space_group_name_H-M 'P 63/m'
_symmetry_Int_Tables_number 176
_symmetry_space_group_name_Hall '-P 6c'
loop_
_atom_site_label
_atom_site_type_symbol
_atom_site_fract_x
_atom_site_fract_y
_atom_site_fract_z
_atom_site_occupancy
La1 La 0.0883 0.6830 0.2500 1
U1 U 0.3333 0.6667 0.7500 1
Cl1 Cl 0.0583 0.8079 0.7500 1
O1 O 0.1524 0.5198 0.5093 1
```

***

# LuTaTiO6
Calculated PXRD pattern, CuKα. Input: a DFT-relaxed cell (GGA-PBE, Alexandria).
Neutral-atom scattering factors, no anomalous dispersion.

Main lines, in order of rising 2θ (2θ from 15° to 90°):
(hkl)  2θ (°)  Rel. int.
1 1 0  18.20  14
0 3 1  24.21  18
1 3 1  29.83  100
0 0 2  31.97  12
2 0 0  34.70  11
0 6 0  36.90  11
0 6 2  49.61  11
2 6 0  51.55  12
0 3 3  52.49  10
1 9 -1  62.09  11

Crystal structure
```
data_LuTaTiO6
_cell_length_a 5.1702
_cell_length_b 14.6169
_cell_length_c 5.5993
_cell_angle_alpha 90.00
_cell_angle_beta 90.25
_cell_angle_gamma 90.00
_symmetry_space_group_name_H-M 'P 1 21/c 1'
_symmetry_Int_Tables_number 14
loop_
_symmetry_equiv_pos_as_xyz
'x,y,z'
'-x,-y,-z'
'-x,y+1/2,-z+1/2'
'x,-y+1/2,z+1/2'
loop_
_atom_site_label
_atom_site_type_symbol
_atom_site_fract_x
_atom_site_fract_y
_atom_site_fract_z
_atom_site_occupancy
Lu1 Lu 0.2462 0.0004 0.2231 1
Ta1 Ta 0.3111 0.1677 0.6772 1
Ti1 Ti 0.1926 0.6632 0.1888 1
O1 O 0.0147 0.0919 0.5678 1
O2 O 0.0816 0.5840 0.4087 1
O3 O 0.1383 0.2398 0.3676 1
O4 O 0.3659 0.7423 0.8634 1
O5 O 0.4183 0.0823 0.9055 1
O6 O 0.4845 0.5929 0.0764 1
```